# NaTl3V2O6
Calculated powder X-ray diffraction pattern, CuKα. Input: the PBE+U geometry in Alexandria.
Lines closer than 0.1° are merged.

Cell and atoms:
abc: 6.4256 6.4256 6.4818
angles: 90.00 90.00 120.00
Fractional coordinates of all 12 atoms:
Na 0.0000 0.0000 0.0000
Tl 0.0000 0.0000 0.5000
Tl 0.3333 0.6667 0.2476
Tl 0.6667 0.3333 0.7524
V 0.3333 0.6667 0.7690
V 0.6667 0.3333 0.2310
O 0.1792 0.3584 0.7827
O 0.1792 0.8208 0.7827
O 0.3584 0.1792 0.2173
O 0.6416 0.8208 0.7827
O 0.8208 0.1792 0.2173
O 0.8208 0.6416 0.2173

Top 10 peaks for 5° ≤ 2θ ≤ 70°, sorted by position:
2theta, d/Å, I (rel.), hkl
21.04, 4.222, 65, 1 0 1
27.77, 3.213, 100, 1 1 0
31.96, 2.801, 63, 1 0 2
35.10, 2.557, 35, 0 2 1
42.84, 2.111, 35, 2 0 2
45.33, 2.001, 21, 2 1 1
49.12, 1.855, 21, 3 0 0
51.82, 1.764, 30, 2 1 2
57.36, 1.606, 18, 2 2 0
64.39, 1.447, 19, 1 1 4